Pm4BS3: theoretical powder diffractogram (Cu Kα, 1.54184 Å), based on DFT lattice parameters and positions (GGA-PBE).

Structure:
Cell: 6.9739 6.9739 4.0007 Å, 90.00 90.00 109.07°
Sites, in units of the cell vectors:
Pm: 0.2322 0.2322 0.5000
Pm: 0.2380 0.7620 0.0000
Pm: 0.7620 0.2380 0.0000
Pm: 0.7678 0.7678 0.5000
B: 0.0000 0.0000 0.0000
S: 0.0000 0.5000 0.5000
S: 0.5000 0.0000 0.5000
S: 0.5000 0.5000 0.0000

Main lines, in order of rising 2θ (15° ≤ 2θ ≤ 90°):
2θ/deg	d/Å	I (rel.)
27.06	3.296	45
27.26	3.271	45
31.46	2.843	100
45.11	2.010	47
53.58	1.710	21
74.67	1.271	19

***

Sr2DyRu3O12: theoretical powder diffractogram (Cu Kα, 1.54184 Å), based on DFT lattice parameters and positions (GGA-PBE).

Structure:
Cell: 6.6583 6.6583 6.6583 Å, 66.61 66.61 66.61°
Sites, in units of the cell vectors:
Sr: 0.1130 0.1130 0.1130
Sr: 0.8870 0.8870 0.8870
Dy: 0.5000 0.5000 0.5000
Ru: 0.0000 0.5000 0.5000
Ru: 0.5000 0.0000 0.5000
Ru: 0.5000 0.5000 0.0000
O: 0.0824 0.6401 0.6401
O: 0.2216 0.2216 0.6172
O: 0.2216 0.6172 0.2216
O: 0.3599 0.3599 0.9176
O: 0.3599 0.9176 0.3599
O: 0.3828 0.7784 0.7784
O: 0.6172 0.2216 0.2216
O: 0.6401 0.0824 0.6401
O: 0.6401 0.6401 0.0824
O: 0.7784 0.3828 0.7784
O: 0.7784 0.7784 0.3828
O: 0.9176 0.3599 0.3599

Main lines, in order of rising 2θ (15° ≤ 2θ ≤ 90°):
2θ/deg	d/Å	I (rel.)
15.12	5.859	51
28.78	3.102	45
29.98	2.981	100
30.51	2.930	73
32.24	2.776	44
49.89	1.828	55

***

Ho5PSe4: theoretical powder diffractogram (Cu Kα, 1.54184 Å), based on DFT lattice parameters and positions (GGA-PBE).

Structure:
Cell: 14.7256 14.7256 14.7256 Å, 164.29 164.29 22.28°
Sites, in units of the cell vectors:
Ho: 0.0000 0.0000 0.0000
Ho: 0.2051 0.2051 0.0000
Ho: 0.4072 0.4072 0.0000
Ho: 0.5928 0.5928 0.0000
Ho: 0.7949 0.7949 0.0000
P: 0.5000 0.5000 0.0000
Se: 0.1022 0.1022 0.0000
Se: 0.3044 0.3044 0.0000
Se: 0.6956 0.6956 0.0000
Se: 0.8978 0.8978 0.0000

Main lines, in order of rising 2θ (15° ≤ 2θ ≤ 90°):
2θ/deg	d/Å	I (rel.)
27.00	3.302	44
30.95	2.889	49
31.44	2.845	100
44.70	2.027	68
45.06	2.012	37
55.67	1.651	36

***

Na2SrCd2Pb2: theoretical powder diffractogram (Cu Kα, 1.54184 Å), based on DFT lattice parameters and positions (GGA-PBE).

Structure:
Cell: 6.0280 6.0280 7.1041 Å, 93.74 93.74 50.83°
Sites, in units of the cell vectors:
Na: 0.1089 0.1089 0.2022
Na: 0.8911 0.8911 0.7978
Sr: 0.5000 0.5000 0.5000
Cd: 0.3709 0.3709 0.0472
Cd: 0.6291 0.6291 0.9528
Pb: 0.1880 0.1880 0.6923
Pb: 0.8120 0.8120 0.3077

Main lines, in order of rising 2θ (15° ≤ 2θ ≤ 90°):
2θ/deg	d/Å	I (rel.)
22.47	3.957	66
32.01	2.796	73
32.18	2.781	100
34.67	2.587	47
36.28	2.476	36
51.06	1.789	27

***

Copy entry 4 word for word.
Na2SrCd2Pb2: theoretical powder diffractogram (Cu Kα, 1.54184 Å), based on DFT lattice parameters and positions (GGA-PBE).

Structure:
Cell: 6.0280 6.0280 7.1041 Å, 93.74 93.74 50.83°
Sites, in units of the cell vectors:
Na: 0.1089 0.1089 0.2022
Na: 0.8911 0.8911 0.7978
Sr: 0.5000 0.5000 0.5000
Cd: 0.3709 0.3709 0.0472
Cd: 0.6291 0.6291 0.9528
Pb: 0.1880 0.1880 0.6923
Pb: 0.8120 0.8120 0.3077

Main lines, in order of rising 2θ (15° ≤ 2θ ≤ 90°):
2θ/deg	d/Å	I (rel.)
22.47	3.957	66
32.01	2.796	73
32.18	2.781	100
34.67	2.587	47
36.28	2.476	36
51.06	1.789	27